# LiFeAsO4
Calculated powder diffraction line list, a wavelength of 1.5418 Å. Input: a crystal structure in the Materials Project, relaxed with GGA+U.
No peak broadening, texture or thermal motion is included.

a = 10.7334 Å, b = 6.1680 Å, c = 4.9531 Å
α = 90.00°, β = 90.00°, γ = 90.00°
Space group Pnma (No. 62)
One atom of each set of equivalent atoms:
1 Li 0.0000 0.0000 0.0000 x4
2 Fe 0.2230 0.2500 0.4888 x4
3 As 0.0935 0.7500 0.4358 x4
4 O 0.0524 0.2500 0.7100 x4
5 O 0.0939 0.7500 0.7810 x4
6 O 0.1694 0.5326 0.2832 x8

Largest 10 diffraction maxima, low angle first, 2θ from 10° to 80°:
- 2θ = 19.74°, intensity 73
- 2θ = 21.95°, intensity 48
- 2θ = 24.47°, intensity 18
- 2θ = 28.95°, intensity 54
- 2θ = 34.16°, intensity 100
- 2θ = 35.29°, intensity 37
- 2θ = 36.52°, intensity 21
- 2θ = 40.12°, intensity 19
- 2θ = 47.06°, intensity 17
- 2θ = 54.72°, intensity 25

# MgFe4As2O11
Calculated powder diffraction line list, a wavelength of 1.5418 Å. Input: a crystal structure in the Materials Project, relaxed with GGA+U.
No peak broadening, texture or thermal motion is included.

a = 5.4220 Å, b = 6.5956 Å, c = 6.9531 Å
α = 109.40°, β = 105.15°, γ = 96.28°
Space group P1 (No. 1)
One atom of each set of equivalent atoms:
1 Mg 0.0000 0.0000 0.0000 x1
2 Fe 0.3044 0.4795 0.1894 x1
3 Fe 0.5060 0.0723 0.8729 x1
4 Fe 0.7233 0.5727 0.9811 x1
5 Fe 0.9912 0.2251 0.6895 x1
6 As 0.3307 0.0201 0.3525 x1
7 As 0.9676 0.6393 0.5276 x1
8 O 0.0671 0.1168 0.4150 x1
9 O 0.0855 0.9162 0.7221 x1
10 O 0.1762 0.7661 0.1466 x1
11 O 0.2393 0.5729 0.4726 x1
12 O 0.3554 0.3373 0.8863 x1
13 O 0.3897 0.1590 0.1879 x1
14 O 0.5817 0.0407 0.5709 x1
15 O 0.6456 0.8465 0.9313 x1
16 O 0.7191 0.6265 0.3105 x1
17 O 0.8654 0.4899 0.6675 x1
18 O 0.8765 0.2717 0.9598 x1

Largest 10 diffraction maxima, low angle first, 2θ from 10° to 80°:
- 2θ = 24.75°, intensity 33
- 2θ = 25.84°, intensity 100
- 2θ = 27.41°, intensity 34
- 2θ = 28.47°, intensity 72
- 2θ = 28.65°, intensity 31
- 2θ = 29.41°, intensity 53
- 2θ = 33.41°, intensity 46
- 2θ = 33.59°, intensity 36
- 2θ = 37.10°, intensity 29
- 2θ = 39.52°, intensity 29